No. 1
# LiTaRe2
Simulated powder diffractogram, Cu Kα, 1.54184 Å. Input: a crystal structure in Alexandria, relaxed with GGA-PBE.

```
LiTaRe2
1.0
2.677 0.000 0.000
0.000 4.404 0.000
-0.887 0.000 5.166
Li Ta Re
1 1 2
direct
0.000 0.000 0.000 Li
0.281 0.500 0.757 Ta
0.563 0.000 0.480 Re
0.803 0.500 0.253 Re
```

Largest 6 diffraction maxima, sorted by position, 15° ≤ 2θ ≤ 90°:
d_spacing, two_theta, I (rel.)
5.166, 17.16, 44
3.351, 26.60, 34
2.228, 40.49, 100
2.203, 40.98, 99
2.193, 41.16, 95
1.557, 59.34, 34

No. 2
# Rb2TlCd
Simulated powder diffractogram, Cu Kα, 1.54184 Å. Input: a crystal structure in Alexandria, relaxed with GGA-PBE.

```
Rb2TlCd
1.0
6.219 -3.486 0.000
6.219 3.486 0.000
-2.132 0.000 4.734
Rb Tl Cd
2 1 1
direct
0.187 0.187 0.188 Rb
0.813 0.813 0.812 Rb
0.506 0.494 0.000 Tl
0.316 0.684 0.500 Cd
```

Largest 6 diffraction maxima, sorted by position, 15° ≤ 2θ ≤ 90°:
d_spacing, two_theta, I (rel.)
5.671, 15.63, 37
3.366, 26.48, 52
3.347, 26.64, 52
3.323, 26.83, 100
2.804, 31.92, 93
1.987, 45.67, 50